No. 1
Theoretical powder X-ray diffraction pattern of AcNd4Er10 for Cu Kα, 1.54184 Å, from a cell relaxed with PBE.
Neutral-atom scattering factors, no anomalous dispersion.

Atomic structure:
Unit cell a=9.7301 b=9.7301 c=10.7922 alpha=90.00 beta=90.00 gamma=90.00
Space group I4/m (No. 87)
One atom of each set of equivalent atoms:
Ac (0.0000, 0.0000, 0.0000) (multiplicity 2)
Nd (0.0723, 0.6551, 0.0000) (multiplicity 8)
Er (0.0000, 0.5000, 0.2500) (multiplicity 4)
Er (0.1158, 0.7883, 0.3428) (multiplicity 16)

Principal peaks in the range 2θ = 10–90°, sorted by position:
Position (°2θ), I/Imax, h k l
26.41, 95, 1 0 3
28.74, 86, 3 0 1
29.02, 100, 1 3 0
32.29, 85, 1 2 3
33.53, 100, 1 3 2
34.25, 60, 2 3 1
38.14, 38, 2 0 4
41.50, 37, 4 2 0
41.85, 37, 3 2 3
44.92, 32, 4 2 2
50.77, 39, 0 0 6
59.53, 25, 3 1 6

No. 2
Theoretical powder X-ray diffraction pattern of Dy7Y6Er16 for Cu Kα, 1.54184 Å, from a cell relaxed with PBE.
Neutral-atom scattering factors, no anomalous dispersion.

Atomic structure:
Unit cell a=15.6085 b=15.6085 c=15.6085 alpha=90.00 beta=90.00 gamma=90.00
Space group Fm-3m (No. 225)
One atom of each set of equivalent atoms:
Dy (0.0000, 0.0000, 0.0000) (multiplicity 4)
Dy (0.0000, 0.2500, 0.2500) (multiplicity 24)
Y (0.0000, 0.0000, 0.2825) (multiplicity 24)
Er (0.1224, 0.1224, 0.1224) (multiplicity 32)
Er (0.1538, 0.1538, 0.3462) (multiplicity 32)

Principal peaks in the range 2θ = 10–90°, sorted by position:
Position (°2θ), I/Imax, h k l
11.34, 7, 2 0 0
29.74, 19, 3 3 3
32.45, 100, 4 4 0
33.98, 11, 5 3 1
38.25, 8, 6 2 2
44.59, 7, 7 3 1
46.55, 12, 8 0 0
53.48, 8, 7 5 3
57.88, 22, 8 4 4
58.87, 8, 9 3 3
61.45, 7, 7 7 3
82.72, 7, 9 7 7

No. 3
Theoretical powder X-ray diffraction pattern of Y2Zr for Cu Kα, 1.54184 Å, from a cell relaxed with PBE.
Neutral-atom scattering factors, no anomalous dispersion.

Atomic structure:
Unit cell a=3.4331 b=3.4331 c=14.6594 alpha=90.00 beta=90.00 gamma=90.00
Space group I4/mmm (No. 139)
One atom of each set of equivalent atoms:
Y (0.0000, 0.0000, 0.1552) (multiplicity 4)
Zr (0.0000, 0.0000, 0.5000) (multiplicity 2)

Principal peaks in the range 2θ = 10–90°, sorted by position:
Position (°2θ), I/Imax, h k l
31.86, 100, 1 0 3
36.79, 15, 0 0 6
37.03, 34, 1 1 0
53.19, 20, 1 1 6
53.37, 12, 2 0 0
63.18, 10, 1 0 9
63.51, 26, 2 1 3
66.58, 10, 2 0 6
78.86, 4, 2 2 0
87.26, 8, 2 1 9
87.56, 6, 3 0 3
89.90, 3, 1 1 12

No. 4
Theoretical powder X-ray diffraction pattern of Ta2Zn2Ru3 for Cu Kα, 1.54184 Å, from a cell relaxed with PBE.
Neutral-atom scattering factors, no anomalous dispersion.

Atomic structure:
Unit cell a=4.3783 b=4.4056 c=6.8166 alpha=104.57 beta=93.87 gamma=119.28
Space group P-1 (No. 2)
One atom of each set of equivalent atoms:
Ta (0.2271, 0.4223, 0.1542) (multiplicity 2)
Zn (0.3396, 0.7510, 0.5867) (multiplicity 2)
Ru (0.0636, 0.1806, 0.7382) (multiplicity 2)
Ru (0.5000, 0.0000, 0.0000) (multiplicity 1)

Principal peaks in the range 2θ = 10–90°, sorted by position:
Position (°2θ), I/Imax, h k l
13.78, 34, 0 0 1
38.80, 55, -1 1 2
40.65, 55, 1 1 -1
41.08, 100, 1 0 2
41.34, 99, 0 1 -3
57.05, 18, 0 2 1
57.85, 17, 2 0 -3
71.61, 14, 0 1 4
72.15, 14, 1 0 -5
74.09, 17, 2 1 1
74.62, 17, 1 2 -4
76.72, 15, 3 -1 2

No. 5
Theoretical powder X-ray diffraction pattern of LiCaCu2F8 for Cu Kα, 1.54184 Å, from a cell relaxed with PBE.
Neutral-atom scattering factors, no anomalous dispersion.

Atomic structure:
Unit cell a=5.3910 b=5.3910 c=10.1810 alpha=90.00 beta=90.00 gamma=90.00
Space group I-4 (No. 82)
One atom of each set of equivalent atoms:
Li (0.0000, 0.0000, 0.0000) (multiplicity 2)
Ca (0.0000, 0.5000, 0.7500) (multiplicity 2)
Cu (0.0000, 0.0000, 0.5000) (multiplicity 2)
Cu (0.0000, 0.5000, 0.2500) (multiplicity 2)
F (0.1338, 0.8054, 0.2159) (multiplicity 8)
F (0.1566, 0.3003, 0.5356) (multiplicity 8)

Principal peaks in the range 2θ = 10–90°, sorted by position:
Position (°2θ), I/Imax, h k l
18.62, 63, 1 0 1
29.27, 100, 1 1 2
31.14, 44, 1 0 3
33.24, 15, 2 0 0
35.26, 51, 0 0 4
38.37, 38, 1 2 1
47.72, 24, 2 2 0
49.24, 17, 2 0 4
56.97, 66, 1 3 2
59.64, 15, 1 1 6
60.70, 19, 2 2 4
79.74, 15, 1 3 6

No. 6
Theoretical powder X-ray diffraction pattern of Mg6TlPd for Cu Kα, 1.54184 Å, from a cell relaxed with PBE.
Neutral-atom scattering factors, no anomalous dispersion.

Atomic structure:
Unit cell a=4.3740 b=4.3740 c=8.6877 alpha=90.00 beta=90.00 gamma=90.00
Space group P4/mmm (No. 123)
One atom of each set of equivalent atoms:
Mg (0.0000, 0.0000, 0.0000) (multiplicity 1)
Mg (0.0000, 0.0000, 0.5000) (multiplicity 1)
Mg (0.0000, 0.5000, 0.2252) (multiplicity 4)
Tl (0.5000, 0.5000, 0.5000) (multiplicity 1)
Pd (0.5000, 0.5000, 0.0000) (multiplicity 1)

Principal peaks in the range 2θ = 10–90°, sorted by position:
Position (°2θ), I/Imax, h k l
20.30, 64, 1 0 0
20.45, 33, 0 0 2
28.87, 27, 1 1 0
28.97, 54, 1 0 2
35.63, 100, 1 1 2
41.28, 34, 2 0 0
41.58, 15, 0 0 4
46.46, 31, 2 0 2
46.69, 15, 1 0 4
51.22, 23, 2 1 2
60.03, 20, 2 0 4
71.60, 25, 3 1 2

No. 7
Theoretical powder X-ray diffraction pattern of Sr2Al9Ni for Cu Kα, 1.54184 Å, from a cell relaxed with PBE.
Neutral-atom scattering factors, no anomalous dispersion.

Atomic structure:
Unit cell a=10.8806 b=15.8373 c=2.8858 alpha=90.00 beta=90.00 gamma=90.00
Space group Cmmm (No. 65)
One atom of each set of equivalent atoms:
Sr (0.0000, 0.1856, 0.0000) (multiplicity 4)
Al (0.0000, 0.0000, 0.0000) (multiplicity 2)
Al (0.0000, 0.3724, 0.5000) (multiplicity 4)
Al (0.2433, 0.0869, 0.5000) (multiplicity 8)
Al (0.2500, 0.2500, 0.0000) (multiplicity 4)
Ni (0.0000, 0.5000, 0.0000) (multiplicity 2)

Principal peaks in the range 2θ = 10–90°, sorted by position:
Position (°2θ), I/Imax, h k l
16.29, 58, 2 0 0
18.68, 90, 1 3 0
29.37, 26, 1 5 0
29.89, 29, 3 3 0
32.93, 100, 4 0 0
35.20, 51, 2 0 1
36.43, 77, 1 3 1
37.89, 89, 2 6 0
38.61, 35, 0 4 1
43.59, 46, 3 3 1
51.63, 29, 4 4 1
58.26, 31, 4 6 1

No. 8
Theoretical powder X-ray diffraction pattern of NdNbIr for Cu Kα, 1.54184 Å, from a cell relaxed with PBE.
Neutral-atom scattering factors, no anomalous dispersion.

Atomic structure:
Unit cell a=4.5923 b=4.5923 c=6.6833 alpha=90.00 beta=90.00 gamma=90.00
Space group P4/nmm (No. 129, origin choice 2)
One atom of each set of equivalent atoms:
Nd (0.2500, 0.2500, 0.1318) (multiplicity 2)
Nb (0.2500, 0.7500, 0.5000) (multiplicity 2)
Ir (0.2500, 0.2500, 0.6841) (multiplicity 2)

Principal peaks in the range 2θ = 10–90°, sorted by position:
Position (°2θ), I/Imax, h k l
13.25, 16, 0 0 1
27.47, 57, 1 1 0
30.61, 22, 1 1 1
33.16, 100, 1 0 2
38.66, 46, 1 1 2
39.24, 73, 2 0 0
52.28, 56, 2 1 2
56.69, 25, 2 2 0
62.52, 13, 1 1 4
67.28, 13, 3 0 2
70.73, 15, 3 1 2
80.74, 16, 3 2 2

No. 9
Theoretical powder X-ray diffraction pattern of Tb3Nd2Sm5 for Cu Kα, 1.54184 Å, from a cell relaxed with PBE.
Neutral-atom scattering factors, no anomalous dispersion.

Atomic structure:
Unit cell a=10.8547 b=15.9290 c=9.5948 alpha=90.00 beta=124.21 gamma=90.00
Space group C2/c (No. 15)
One atom of each set of equivalent atoms:
Tb (0.0000, 0.0225, 0.2500) (multiplicity 4)
Tb (0.1580, 0.3792, 0.5458) (multiplicity 8)
Nd (0.1415, 0.1251, 0.0498) (multiplicity 8)
Sm (0.0000, 0.2307, 0.2500) (multiplicity 4)
Sm (0.0000, 0.2729, 0.7500) (multiplicity 4)
Sm (0.0000, 0.4698, 0.7500) (multiplicity 4)
Sm (0.2314, 0.3809, 0.2161) (multiplicity 8)

Principal peaks in the range 2θ = 10–90°, sorted by position:
Position (°2θ), I/Imax, h k l
22.37, 12, 0 4 0
30.02, 100, 2 4 0
30.12, 33, 2 2 -3
31.84, 17, 0 4 2
33.01, 32, 4 0 -2
37.74, 19, 2 0 2
48.59, 13, 0 6 3
49.38, 9, 4 6 -3
57.06, 11, 6 4 -2
57.20, 10, 6 2 -5
57.41, 10, 4 8 -2
65.44, 14, 2 10 -3

No. 10
Theoretical powder X-ray diffraction pattern of Ca2Ag5Au5 for Cu Kα, 1.54184 Å, from a cell relaxed with PBE.
Neutral-atom scattering factors, no anomalous dispersion.

Atomic structure:
Unit cell a=4.6979 b=5.5764 c=9.7445 alpha=90.00 beta=90.00 gamma=90.00
Space group Pmmm (No. 47)
One atom of each set of equivalent atoms:
Ca (0.0000, 0.0000, 0.0000) (multiplicity 1)
Ca (0.0000, 0.5000, 0.5000) (multiplicity 1)
Ag (0.5000, 0.0000, 0.5000) (multiplicity 1)
Ag (0.5000, 0.2497, 0.2505) (multiplicity 4)
Au (0.0000, 0.0000, 0.3341) (multiplicity 2)
Au (0.0000, 0.5000, 0.1677) (multiplicity 2)
Au (0.5000, 0.5000, 0.0000) (multiplicity 1)

Principal peaks in the range 2θ = 10–90°, sorted by position:
Position (°2θ), I/Imax, h k l
18.21, 21, 0 0 2
18.33, 77, 0 1 1
31.88, 17, 0 1 3
37.32, 100, 1 1 3
37.51, 36, 1 2 0
38.32, 44, 2 0 0
41.77, 30, 1 0 4
42.00, 59, 1 2 2
42.78, 24, 2 1 1
60.69, 24, 1 3 3
66.64, 17, 0 2 6
79.57, 21, 2 2 6

No. 11
Theoretical powder X-ray diffraction pattern of UHg8I6 for Cu Kα, 1.54184 Å, from a cell relaxed with PBE.
Neutral-atom scattering factors, no anomalous dispersion.

Atomic structure:
Unit cell a=8.2941 b=8.2941 c=30.8178 alpha=90.00 beta=90.00 gamma=120.00
Space group R-3 (No. 148, hexagonal axes)
One atom of each set of equivalent atoms:
U (0.0000, 0.0000, 0.0000) (multiplicity 3)
Hg (0.0000, 0.0000, 0.4264) (multiplicity 6)
Hg (0.9998, 0.3312, 0.8540) (multiplicity 18)
I (0.0068, 0.5814, 0.6117) (multiplicity 18)

Principal peaks in the range 2θ = 10–90°, sorted by position:
Position (°2θ), I/Imax, h k l
13.60, 36, 0 1 2
23.13, 32, 1 1 3
23.70, 21, 1 0 7
27.65, 100, 1 1 6
28.77, 31, 2 0 5
33.95, 75, 1 1 9
37.57, 64, 3 0 0
38.61, 21, 0 3 3
41.35, 22, 2 -1 12
47.27, 20, 4 -2 6
49.51, 29, 2 -1 15
70.37, 21, 5 -1 12

No. 12
Theoretical powder X-ray diffraction pattern of CaPdSe for Cu Kα, 1.54184 Å, from a cell relaxed with PBE.
Neutral-atom scattering factors, no anomalous dispersion.

Atomic structure:
Unit cell a=4.5752 b=5.8065 c=5.5939 alpha=90.00 beta=114.12 gamma=90.00
Space group P2_1 (No. 4)
One atom of each set of equivalent atoms:
Ca (0.1482, 0.0000, 0.2955) (multiplicity 2)
Pd (0.4392, 0.0959, 0.8770) (multiplicity 2)
Se (0.1439, 0.5025, 0.2891) (multiplicity 2)

Principal peaks in the range 2θ = 10–90°, sorted by position:
Position (°2θ), I/Imax, h k l
23.20, 100, 0 1 1
30.80, 77, 0 2 0
32.80, 86, 1 0 1
36.36, 38, 1 1 -2
37.74, 48, 1 2 0
38.53, 21, 0 1 2
39.39, 56, 2 0 -1
45.61, 49, 1 2 1
46.21, 32, 2 1 -2
50.81, 36, 2 2 -1
51.47, 35, 1 1 2
68.42, 21, 1 4 0

What did the seventh record say?
Theoretical powder X-ray diffraction pattern of Sr2Al9Ni for Cu Kα, 1.54184 Å, from a cell relaxed with PBE.
Neutral-atom scattering factors, no anomalous dispersion.

Atomic structure:
Unit cell a=10.8806 b=15.8373 c=2.8858 alpha=90.00 beta=90.00 gamma=90.00
Space group Cmmm (No. 65)
One atom of each set of equivalent atoms:
Sr (0.0000, 0.1856, 0.0000) (multiplicity 4)
Al (0.0000, 0.0000, 0.0000) (multiplicity 2)
Al (0.0000, 0.3724, 0.5000) (multiplicity 4)
Al (0.2433, 0.0869, 0.5000) (multiplicity 8)
Al (0.2500, 0.2500, 0.0000) (multiplicity 4)
Ni (0.0000, 0.5000, 0.0000) (multiplicity 2)

Principal peaks in the range 2θ = 10–90°, sorted by position:
Position (°2θ), I/Imax, h k l
16.29, 58, 2 0 0
18.68, 90, 1 3 0
29.37, 26, 1 5 0
29.89, 29, 3 3 0
32.93, 100, 4 0 0
35.20, 51, 2 0 1
36.43, 77, 1 3 1
37.89, 89, 2 6 0
38.61, 35, 0 4 1
43.59, 46, 3 3 1
51.63, 29, 4 4 1
58.26, 31, 4 6 1

What did the first record say?
Theoretical powder X-ray diffraction pattern of AcNd4Er10 for Cu Kα, 1.54184 Å, from a cell relaxed with PBE.
Neutral-atom scattering factors, no anomalous dispersion.

Atomic structure:
Unit cell a=9.7301 b=9.7301 c=10.7922 alpha=90.00 beta=90.00 gamma=90.00
Space group I4/m (No. 87)
One atom of each set of equivalent atoms:
Ac (0.0000, 0.0000, 0.0000) (multiplicity 2)
Nd (0.0723, 0.6551, 0.0000) (multiplicity 8)
Er (0.0000, 0.5000, 0.2500) (multiplicity 4)
Er (0.1158, 0.7883, 0.3428) (multiplicity 16)

Principal peaks in the range 2θ = 10–90°, sorted by position:
Position (°2θ), I/Imax, h k l
26.41, 95, 1 0 3
28.74, 86, 3 0 1
29.02, 100, 1 3 0
32.29, 85, 1 2 3
33.53, 100, 1 3 2
34.25, 60, 2 3 1
38.14, 38, 2 0 4
41.50, 37, 4 2 0
41.85, 37, 3 2 3
44.92, 32, 4 2 2
50.77, 39, 0 0 6
59.53, 25, 3 1 6